# 1
Computed powder XRD pattern of TlGeCl3 for λ = 1.5418 Å (Cu Kα), from the GGA-PBE geometry in Alexandria.

Largest 12 diffraction maxima, in order of falling intensity, 10 to 90 degrees two-theta:
hkl, Position (°2θ), I/Imax
0 0 1, 10.67, 100
1 0 0, 13.94, 68
0 0 3, 32.34, 57
1 1 1, 22.45, 55
1 1 -2, 26.45, 54
0 2 1, 26.23, 39
1 1 -1, 20.03, 32
0 2 0, 23.89, 32
2 2 -1, 37.39, 29
1 2 1, 30.67, 28
2 1 -1, 30.82, 24
2 1 1, 34.09, 21

Cell and atoms:
```
data_TlGeCl3
_space_group_name_H-M_alt 'P 1 21/m 1'
_space_group_IT_number 11
_cell_length_a 6.4446
_cell_length_b 7.4502
_cell_length_c 8.4164
_cell_angle_alpha 90.00
_cell_angle_beta 99.77
_cell_angle_gamma 90.00
loop_
_space_group_symop_operation_xyz
'x,y,z'
'-x,-y,-z'
'-x,y+1/2,-z'
'x,-y+1/2,z'
loop_
_atom_site_label
_atom_site_type_symbol
_atom_site_fract_x
_atom_site_fract_y
_atom_site_fract_z
Tl1 Tl 0.1801 0.2500 0.4757
Ge1 Ge 0.1302 0.7500 0.1619
Cl1 Cl 0.1034 0.0186 0.7922
Cl2 Cl 0.3038 0.7500 0.4388
```

***

# 2
Computed powder XRD pattern of Tl6GeCl8 for λ = 1.5418 Å (Cu Kα), from the GGA-PBE geometry in Alexandria.

Largest 12 diffraction maxima, in order of falling intensity, 10 to 90 degrees two-theta:
hkl, Position (°2θ), I/Imax
1 1 3, 23.50, 100
1 1 6, 34.39, 32
4 -1 2, 40.54, 31
3 0 0, 32.54, 30
2 1 1, 29.01, 25
1 1 0, 18.62, 25
0 0 6, 28.65, 25
3 -2 5, 37.54, 16
2 -1 9, 47.77, 15
3 -2 2, 30.19, 15
1 3 4, 44.04, 14
3 2 1, 48.27, 13

Cell and atoms:
```
data_Tl6GeCl8
_space_group_name_H-M_alt 'R -3'
_space_group_IT_number 148
_space_group_name_Hall '-R 3'
_cell_length_a 9.5332
_cell_length_b 9.5332
_cell_length_c 18.6930
_cell_angle_alpha 90.00
_cell_angle_beta 90.00
_cell_angle_gamma 120.00
loop_
_atom_site_label
_atom_site_type_symbol
_atom_site_fract_x
_atom_site_fract_y
_atom_site_fract_z
Tl1 Tl 0.0233 0.3994 0.4202
Ge1 Ge 0.0000 0.0000 0.5000
Cl1 Cl 0.0000 0.0000 0.1705
Cl2 Cl 0.0040 0.2364 0.5813
```

***

# 3
Computed powder XRD pattern of TlGeCl3 for λ = 1.5418 Å (Cu Kα), from the GGA-PBE geometry in Alexandria.

Largest 12 diffraction maxima, in order of falling intensity, 10 to 90 degrees two-theta:
hkl, Position (°2θ), I/Imax
0 0 2, 17.38, 100
2 2 1, 31.02, 74
2 0 0, 18.61, 60
2 2 3, 40.05, 54
1 1 1, 17.12, 39
0 0 4, 35.16, 38
3 1 1, 31.67, 35
2 0 2, 25.57, 29
0 2 1, 24.60, 29
4 0 4, 52.52, 26
4 2 1, 45.56, 21
0 2 2, 28.95, 20

Cell and atoms:
```
data_TlGeCl3
_space_group_name_H-M_alt 'C m c m'
_space_group_IT_number 63
_space_group_name_Hall '-C 2c 2'
_cell_length_a 9.5360
_cell_length_b 7.7415
_cell_length_c 10.2039
_cell_angle_alpha 90.00
_cell_angle_beta 90.00
_cell_angle_gamma 90.00
loop_
_atom_site_label
_atom_site_type_symbol
_atom_site_fract_x
_atom_site_fract_y
_atom_site_fract_z
Tl1 Tl 0.0000 0.1738 0.2500
Ge1 Ge 0.0000 0.3912 0.7500
Cl1 Cl 0.0000 0.5000 0.0000
Cl2 Cl 0.1808 0.1816 0.7500
```

***

# 4
Computed powder XRD pattern of Tl2GeCl4 for λ = 1.5418 Å (Cu Kα), from the GGA-PBE geometry in Alexandria.

Largest 12 diffraction maxima, in order of falling intensity, 10 to 90 degrees two-theta:
hkl, Position (°2θ), I/Imax
0 1 2, 23.81, 100
1 1 -1, 18.70, 99
2 0 1, 29.69, 84
0 2 0, 26.25, 82
2 1 -1, 27.36, 65
1 0 1, 18.09, 46
3 1 0, 40.27, 45
1 0 -3, 28.72, 44
1 2 1, 32.08, 41
2 2 -2, 37.92, 40
2 2 1, 40.04, 39
0 2 2, 33.12, 36

Cell and atoms:
```
data_Tl2GeCl4
_space_group_name_H-M_alt 'P 1 21/m 1'
_space_group_IT_number 11
_cell_length_a 7.4671
_cell_length_b 6.7902
_cell_length_c 9.3941
_cell_angle_alpha 90.00
_cell_angle_beta 107.63
_cell_angle_gamma 90.00
loop_
_space_group_symop_operation_xyz
'x,y,z'
'-x,-y,-z'
'-x,y+1/2,-z'
'x,-y+1/2,z'
loop_
_atom_site_label
_atom_site_type_symbol
_atom_site_fract_x
_atom_site_fract_y
_atom_site_fract_z
Tl1 Tl 0.0955 0.2500 0.4001
Tl2 Tl 0.2453 0.7500 0.0602
Ge1 Ge 0.4594 0.7500 0.6331
Cl1 Cl 0.1748 0.2500 0.0993
Cl2 Cl 0.2001 0.7500 0.3935
Cl3 Cl 0.3252 0.5023 0.7367
```

***

# 5
Computed powder XRD pattern of YTlGeCl6 for λ = 1.5418 Å (Cu Kα), from the GGA-PBE geometry in Alexandria.

Largest 12 diffraction maxima, in order of falling intensity, 10 to 90 degrees two-theta:
hkl, Position (°2θ), I/Imax
1 0 1, 19.38, 100
2 -1 2, 36.31, 53
3 -1 1, 41.48, 41
3 1 1, 56.29, 25
2 0 1, 32.19, 25
1 1 0, 25.46, 23
3 0 0, 44.87, 20
2 2 2, 59.03, 18
1 1 1, 28.52, 16
2 0 0, 29.48, 15
4 -1 3, 68.85, 14
5 -1 2, 77.10, 13

Cell and atoms:
```
data_YTlGeCl6
_space_group_name_H-M_alt 'P 3 1 2'
_space_group_IT_number 149
_cell_length_a 6.9982
_cell_length_b 6.9982
_cell_length_c 6.9976
_cell_angle_alpha 90.00
_cell_angle_beta 90.00
_cell_angle_gamma 120.00
loop_
_space_group_symop_operation_xyz
'x,y,z'
'-y,x-y,z'
'-x+y,-x,z'
'-y,-x,-z'
'-x+y,y,-z'
'x,x-y,-z'
loop_
_atom_site_label
_atom_site_type_symbol
_atom_site_fract_x
_atom_site_fract_y
_atom_site_fract_z
Y1 Y 0.0000 0.0000 0.0000
Tl1 Tl 0.3333 0.6667 0.5000
Ge1 Ge 0.6667 0.3333 0.0000
Cl1 Cl 0.3301 0.0354 0.2152
```

***

# 6
Computed powder XRD pattern of VGeCl2 for λ = 1.5418 Å (Cu Kα), from the GGA-PBE geometry in Alexandria.

Largest 12 diffraction maxima, in order of falling intensity, 10 to 90 degrees two-theta:
hkl, Position (°2θ), I/Imax
1 1 2, 25.91, 100
2 0 4, 44.64, 35
3 1 2, 47.77, 30
2 2 0, 39.40, 21
2 1 1, 32.11, 12
2 0 0, 27.58, 10
1 1 6, 56.65, 10
3 1 6, 71.19, 10
4 2 4, 75.12, 7
5 1 2, 77.44, 6
3 3 2, 63.59, 6
4 0 0, 56.95, 5

Cell and atoms:
```
data_VGeCl2
_space_group_name_H-M_alt 'I -4 2 d'
_space_group_IT_number 122
_space_group_name_Hall 'I -4 2bw'
_cell_length_a 6.4679
_cell_length_b 6.4679
_cell_length_c 10.4286
_cell_angle_alpha 90.00
_cell_angle_beta 90.00
_cell_angle_gamma 90.00
loop_
_atom_site_label
_atom_site_type_symbol
_atom_site_fract_x
_atom_site_fract_y
_atom_site_fract_z
V1 V 0.0000 0.0000 0.0000
Ge1 Ge 0.0000 0.0000 0.5000
Cl1 Cl 0.1696 0.2500 0.1250
```

***

# 7
Computed powder XRD pattern of VGeCl4 for λ = 1.5418 Å (Cu Kα), from the GGA-PBE geometry in Alexandria.

Largest 12 diffraction maxima, in order of falling intensity, 10 to 90 degrees two-theta:
hkl, Position (°2θ), I/Imax
2 0 0, 13.86, 100
3 1 -1, 30.86, 65
5 1 -1, 39.71, 37
0 0 2, 30.09, 30
3 1 -3, 47.81, 20
2 0 2, 38.65, 18
5 1 1, 50.82, 18
6 0 -4, 57.98, 12
3 1 1, 39.13, 11
0 2 0, 48.30, 11
1 1 -3, 49.67, 8
8 0 -2, 51.71, 8

Cell and atoms:
```
data_VGeCl4
_space_group_name_H-M_alt 'C 1 2/m 1'
_space_group_IT_number 12
_cell_length_a 14.2264
_cell_length_b 3.7689
_cell_length_c 6.6138
_cell_angle_alpha 90.00
_cell_angle_beta 116.09
_cell_angle_gamma 90.00
loop_
_space_group_symop_operation_xyz
'x,y,z'
'-x,-y,-z'
'-x,y,-z'
'x,-y,z'
'x+1/2,y+1/2,z'
'-x+1/2,-y+1/2,-z'
'-x+1/2,y+1/2,-z'
'x+1/2,-y+1/2,z'
loop_
_atom_site_label
_atom_site_type_symbol
_atom_site_fract_x
_atom_site_fract_y
_atom_site_fract_z
V1 V 0.0000 0.0000 0.0000
Ge1 Ge 0.0000 0.5000 0.5000
Cl1 Cl 0.1059 0.5000 0.9528
Cl2 Cl 0.1120 0.0000 0.4152
```

***

# 8
Computed powder XRD pattern of YGe3Cl9 for λ = 1.5418 Å (Cu Kα), from the GGA-PBE geometry in Alexandria.

Largest 12 diffraction maxima, in order of falling intensity, 10 to 90 degrees two-theta:
hkl, Position (°2θ), I/Imax
1 1 -2, 16.77, 100
1 1 -1, 11.66, 79
2 0 -2, 13.57, 78
2 0 2, 26.06, 56
0 2 1, 20.79, 53
3 3 -2, 33.04, 47
5 1 -2, 26.94, 42
5 1 -3, 27.66, 37
3 1 0, 20.95, 35
1 1 0, 11.33, 31
4 2 -3, 29.59, 29
1 1 3, 30.75, 29

Cell and atoms:
```
data_YGe3Cl9
_space_group_name_H-M_alt 'C 1 c 1'
_space_group_IT_number 9
_cell_length_a 17.7459
_cell_length_b 9.3219
_cell_length_c 13.2985
_cell_angle_alpha 90.00
_cell_angle_beta 126.38
_cell_angle_gamma 90.00
loop_
_space_group_symop_operation_xyz
'x,y,z'
'x,-y,z+1/2'
'x+1/2,y+1/2,z'
'x+1/2,-y+1/2,z+1/2'
loop_
_atom_site_label
_atom_site_type_symbol
_atom_site_fract_x
_atom_site_fract_y
_atom_site_fract_z
Y1 Y 0.0000 0.1506 0.0000
Ge1 Ge 0.1381 0.0594 0.8673
Ge2 Ge 0.2191 0.4820 0.2936
Ge3 Ge 0.4076 0.1246 0.0434
Cl1 Cl 0.0701 0.2773 0.8860
Cl2 Cl 0.0798 0.0723 0.4622
Cl3 Cl 0.1209 0.4284 0.5992
Cl4 Cl 0.1473 0.2256 0.2264
Cl5 Cl 0.2925 0.0903 0.0845
Cl6 Cl 0.2979 0.1961 0.8412
Cl7 Cl 0.3429 0.4254 0.2740
Cl8 Cl 0.3951 0.1386 0.4864
Cl9 Cl 0.4619 0.4676 0.1098
```